For BaLaCoSbO6, the GGA+U geometry in Alexandria gives the simulated XRD peak list in this record (Cu Ka).
Lines closer than 0.1° are merged.

Crystal structure
Cell lengths 5.760, 5.760, 8.196 Å; angles 90.00, 90.00, 90.00 degrees
Space group I-4 (No. 82)
One atom of each set of equivalent atoms:
1 Ba 0.000 0.000 0.000 (multiplicity 2)
2 La 0.000 0.000 0.500 (multiplicity 2)
3 Co 0.000 0.500 0.750 (multiplicity 2)
4 Sb 0.000 0.500 0.250 (multiplicity 2)
5 O 0.000 0.500 0.003 (multiplicity 4)
6 O 0.189 0.206 0.271 (multiplicity 8)

Principal peaks in the range 2θ = 10–90°, most intense first:
two_theta  intensity  (hkl)
30.99  100  2 0 0
55.19  28  3 1 2
44.49  19  2 2 0
55.00  14  2 0 4
73.52  11  2 4 0
64.52  11  2 2 4
44.20  10  0 0 4
89.98  8  2 4 4